This entry pairs a crystal structure of Ca2Cl3O with its computed PXRD pattern. Radiation: Cu Ka. Structure: a structure optimized by DFT (PBE).
Intensities are scaled so that the largest is 100.

Top 8 peaks for 2θ from 10° to 90°, low angle first:
7.285 Å, 12.15 deg, rel. 98.7, (0 1 -1)
5.304 Å, 16.72 deg, rel. 52.3, (0 1 1)
4.794 Å, 18.51 deg, rel. 59.1, (0 0 2)
3.288 Å, 27.12 deg, rel. 66.1, (1 0 -2)
2.931 Å, 30.50 deg, rel. 60.8, (-1 1 2)
2.766 Å, 32.36 deg, rel. 88.9, (1 0 2)
2.672 Å, 33.54 deg, rel. 100.0, (0 3 -2)
2.130 Å, 42.43 deg, rel. 48.5, (1 2 -4)

Unit cell a=3.9139 b=8.2789 c=10.1885 alpha=107.28 beta=98.21 gamma=94.83
Positions (direct):
Ca 0.2150 0.0519 0.1698
Ca 0.2679 0.4164 0.6573
Ca 0.7321 0.5836 0.3427
Ca 0.7850 0.9481 0.8302
Cl 0.1435 0.4063 0.1781
Cl 0.2606 0.1302 0.7270
Cl 0.3257 0.6988 0.5497
Cl 0.6743 0.3012 0.4503
Cl 0.7394 0.8698 0.2730
Cl 0.8565 0.5937 0.8219
O 0.3537 0.9286 0.9589
O 0.6463 0.0714 0.0411